(1)
Diffraction record for In4AgF12. The powder diffraction line list is theoretical, not measured: it uses the GGA-PBE geometry in Alexandria and copper Kα.
Kinematic intensities with the Lorentz-polarization factor, no thermal factor.

Atomic structure:
a b c (Å): 8.2439 8.4325 8.4413
angles (deg): 90.00 90.00 90.00
Space group Immm (No. 71)
Asymmetric unit:
In (0.2500, 0.2500, 0.2500) x8
Ag (0.0000, 0.0000, 0.0000) x2
F (0.0000, 0.2943, 0.2929) x8
F (0.1976, 0.0000, 0.2491) x8
F (0.1984, 0.2451, 0.0000) x8

Main lines, in order of rising 2θ (2θ from 5° to 70°):
| two_theta | intensity |
| --- | --- |
| 15.03 | 29 |
| 21.06 | 86 |
| 21.56 | 37 |
| 29.96 | 45 |
| 30.32 | 100 |
| 42.88 | 43 |
| 48.48 | 19 |
| 53.41 | 46 |
| 54.09 | 25 |
| 63.06 | 18 |

---

(2)
Diffraction record for YCo2H. The powder diffraction line list is theoretical, not measured: it uses the GGA-PBE geometry in Alexandria and copper Kα.
Kinematic intensities with the Lorentz-polarization factor, no thermal factor.

Atomic structure:
a b c (Å): 7.3849 7.3849 7.3849
angles (deg): 90.00 90.00 90.00
Space group Fd-3m (No. 227, origin choice 2)
Asymmetric unit:
Y (0.1250, 0.1250, 0.1250) x8
Co (0.0000, 0.0000, 0.5000) x16
H (0.1250, 0.1250, 0.6250) x8

Main lines, in order of rising 2θ (2θ from 5° to 70°):
| two_theta | intensity |
| --- | --- |
| 34.35 | 43 |
| 40.51 | 100 |
| 42.40 | 29 |
| 49.36 | 1 |
| 61.52 | 15 |
| 65.70 | 30 |

---

(3)
Diffraction record for LiIn2F7. The powder diffraction line list is theoretical, not measured: it uses the GGA-PBE geometry in Alexandria and copper Kα.
Kinematic intensities with the Lorentz-polarization factor, no thermal factor.

Atomic structure:
a b c (Å): 3.8413 3.8413 29.6701
angles (deg): 90.00 90.00 120.00
Space group R-3m (No. 166, hexagonal axes)
Asymmetric unit:
Li (0.0000, 0.0000, 0.0000) x3
In (0.0000, 0.0000, 0.4294) x6
F (0.0000, 0.0000, 0.0766) x6
F (0.0000, 0.0000, 0.2201) x6
F (0.0000, 0.0000, 0.3603) x6
F (0.0000, 0.0000, 0.5000) x3

Main lines, in order of rising 2θ (2θ from 5° to 70°):
| two_theta | intensity |
| --- | --- |
| 8.94 | 20 |
| 17.94 | 80 |
| 26.98 | 100 |
| 27.48 | 41 |
| 30.81 | 27 |
| 36.29 | 37 |
| 47.33 | 54 |
| 51.06 | 69 |
| 55.34 | 24 |
| 68.04 | 16 |

---

(4)
Diffraction record for Ta3Mo5. The powder diffraction line list is theoretical, not measured: it uses the GGA-PBE geometry in Alexandria and copper Kα.
Kinematic intensities with the Lorentz-polarization factor, no thermal factor.

Atomic structure:
a b c (Å): 3.2211 4.5195 18.2572
angles (deg): 90.00 90.00 90.00
Space group Imm2 (No. 44)
Asymmetric unit:
Ta (0.0000, 0.0000, 0.0000) x2
Ta (0.0000, 0.0000, 0.2463) x2
Ta (0.0000, 0.5000, 0.3694) x2
Mo (0.0000, 0.0000, 0.4973) x2
Mo (0.0000, 0.0000, 0.7438) x2
Mo (0.0000, 0.5000, 0.1223) x2
Mo (0.0000, 0.5000, 0.6219) x2
Mo (0.0000, 0.5000, 0.8741) x2

Main lines, in order of rising 2θ (2θ from 5° to 70°):
| two_theta | intensity |
| --- | --- |
| 9.69 | 3 |
| 20.24 | 5 |
| 24.53 | 2 |
| 28.13 | 2 |
| 31.47 | 5 |
| 39.49 | 25 |
| 39.63 | 100 |
| 39.89 | 26 |
| 57.20 | 8 |
| 57.38 | 17 |

---

(5)
Diffraction record for Ho6Th2Mg. The powder diffraction line list is theoretical, not measured: it uses the GGA-PBE geometry in Alexandria and copper Kα.
Kinematic intensities with the Lorentz-polarization factor, no thermal factor.

Atomic structure:
a b c (Å): 3.5170 3.5170 26.1004
angles (deg): 90.00 90.00 120.00
Space group P-6m2 (No. 187)
Asymmetric unit:
Ho (0.0000, 0.0000, 0.0640) x2
Ho (0.0000, 0.0000, 0.2865) x2
Ho (0.3333, 0.6667, 0.3943) x2
Th (0.3333, 0.6667, 0.1726) x2
Mg (0.0000, 0.0000, 0.5000) x1

Main lines, in order of rising 2θ (2θ from 5° to 70°):
| two_theta | intensity |
| --- | --- |
| 6.77 | 32 |
| 29.32 | 45 |
| 30.83 | 44 |
| 31.11 | 40 |
| 32.44 | 45 |
| 34.08 | 100 |
| 43.07 | 28 |
| 52.00 | 37 |
| 58.00 | 34 |
| 61.69 | 38 |

---

(6)
Diffraction record for DyIn3Se6. The powder diffraction line list is theoretical, not measured: it uses the GGA-PBE geometry in Alexandria and copper Kα.
Kinematic intensities with the Lorentz-polarization factor, no thermal factor.

Atomic structure:
a b c (Å): 11.4086 4.0743 11.8986
angles (deg): 90.00 111.65 90.00
Space group P2_1/m (No. 11)
Asymmetric unit:
Dy (0.2016, 0.2500, 0.0489) x2
In (0.0227, 0.7500, 0.2942) x2
In (0.3343, 0.2500, 0.4377) x2
In (0.4041, 0.7500, 0.8317) x2
Se (0.0357, 0.7500, 0.9017) x2
Se (0.1045, 0.2500, 0.4537) x2
Se (0.2368, 0.2500, 0.8024) x2
Se (0.2395, 0.7500, 0.2499) x2
Se (0.4077, 0.7500, 0.0692) x2
Se (0.4378, 0.7500, 0.6034) x2

Main lines, in order of rising 2θ (2θ from 5° to 70°):
| two_theta | intensity |
| --- | --- |
| 22.42 | 40 |
| 30.24 | 100 |
| 30.50 | 36 |
| 31.60 | 60 |
| 32.76 | 94 |
| 33.57 | 42 |
| 39.87 | 43 |
| 43.98 | 43 |
| 44.47 | 60 |
| 44.84 | 36 |

---

(7)
Diffraction record for Ta6CrRu. The powder diffraction line list is theoretical, not measured: it uses the GGA-PBE geometry in Alexandria and copper Kα.
Kinematic intensities with the Lorentz-polarization factor, no thermal factor.

Atomic structure:
a b c (Å): 4.5292 4.5292 13.1274
angles (deg): 90.00 90.00 90.00
Space group I4/mmm (No. 139)
Asymmetric unit:
Ta (0.0000, 0.0000, 0.2472) x4
Ta (0.0000, 0.5000, 0.1186) x8
Cr (0.0000, 0.0000, 0.0000) x2
Ru (0.0000, 0.0000, 0.5000) x2

Main lines, in order of rising 2θ (2θ from 5° to 70°):
| two_theta | intensity |
| --- | --- |
| 13.49 | 4 |
| 27.86 | 3 |
| 31.07 | 8 |
| 39.31 | 100 |
| 39.80 | 49 |
| 41.26 | 2 |
| 56.04 | 9 |
| 57.56 | 17 |
| 58.67 | 3 |
| 66.86 | 2 |

---

(8)
Diffraction record for Tl2InFeCl6. The powder diffraction line list is theoretical, not measured: it uses the GGA-PBE geometry in Alexandria and copper Kα.
Kinematic intensities with the Lorentz-polarization factor, no thermal factor.

Atomic structure:
a b c (Å): 7.1948 7.4012 12.5824
angles (deg): 90.00 124.77 90.00
Space group P2_1/c (No. 14)
Asymmetric unit:
Tl (0.2345, 0.0572, 0.2479) x4
In (0.5000, 0.0000, 0.0000) x2
Fe (0.0000, 0.0000, 0.5000) x2
Cl (0.1444, 0.2431, 0.9678) x4
Cl (0.2274, 0.6777, 0.9678) x4
Cl (0.2825, 0.0098, 0.7189) x4

Main lines, in order of rising 2θ (2θ from 5° to 70°):
| two_theta | intensity |
| --- | --- |
| 19.23 | 14 |
| 24.05 | 21 |
| 24.38 | 100 |
| 24.75 | 26 |
| 30.27 | 17 |
| 34.75 | 55 |
| 39.58 | 18 |
| 43.36 | 26 |
| 49.96 | 19 |
| 56.31 | 14 |

---

(9)
Diffraction record for BaLi2Pb9. The powder diffraction line list is theoretical, not measured: it uses the GGA-PBE geometry in Alexandria and copper Kα.
Kinematic intensities with the Lorentz-polarization factor, no thermal factor.

Atomic structure:
a b c (Å): 13.1334 13.1334 8.7593
angles (deg): 90.00 90.00 90.00
Space group I4_1/amd (No. 141, origin choice 2)
Asymmetric unit:
Ba (0.0000, 0.2500, 0.3750) x4
Li (0.0000, 0.0000, 0.0000) x8
Pb (0.0000, 0.2500, 0.8750) x4
Pb (0.1244, 0.0514, 0.6867) x32

Main lines, in order of rising 2θ (2θ from 5° to 70°):
| two_theta | intensity |
| --- | --- |
| 18.19 | 24 |
| 24.43 | 24 |
| 29.64 | 97 |
| 30.44 | 68 |
| 34.13 | 28 |
| 34.30 | 24 |
| 35.69 | 100 |
| 37.01 | 29 |
| 53.60 | 28 |
| 58.81 | 25 |

---

(10)
Diffraction record for CaPaPb2. The powder diffraction line list is theoretical, not measured: it uses the GGA-PBE geometry in Alexandria and copper Kα.
Kinematic intensities with the Lorentz-polarization factor, no thermal factor.

Atomic structure:
a b c (Å): 3.4940 3.4940 9.2532
angles (deg): 90.00 90.00 90.00
Space group P4/mmm (No. 123)
Asymmetric unit:
Ca (0.0000, 0.0000, 0.0000) x1
Pa (0.0000, 0.0000, 0.5000) x1
Pb (0.5000, 0.5000, 0.2513) x2

Main lines, in order of rising 2θ (2θ from 5° to 70°):
| two_theta | intensity |
| --- | --- |
| 9.56 | 28 |
| 27.28 | 10 |
| 32.10 | 100 |
| 36.36 | 36 |
| 38.94 | 20 |
| 52.37 | 13 |
| 54.33 | 23 |
| 62.76 | 32 |
| 66.24 | 13 |
| 67.15 | 15 |

---

(11)
Diffraction record for MnHgI5. The powder diffraction line list is theoretical, not measured: it uses the GGA-PBE geometry in Alexandria and copper Kα.
Kinematic intensities with the Lorentz-polarization factor, no thermal factor.

Atomic structure:
a b c (Å): 16.8068 8.3698 10.1727
angles (deg): 90.00 90.00 90.00
Space group Pnma (No. 62)
Asymmetric unit:
Mn (0.0671, 0.2500, 0.1483) x4
Hg (0.1024, 0.7500, 0.4429) x4
I (0.0000, 0.0000, 0.0000) x4
I (0.0762, 0.7500, 0.7135) x4
I (0.1498, 0.0286, 0.3111) x8
I (0.1875, 0.2500, 0.9836) x4

Main lines, in order of rising 2θ (2θ from 5° to 70°):
| two_theta | intensity |
| --- | --- |
| 13.68 | 64 |
| 14.68 | 100 |
| 20.98 | 25 |
| 23.69 | 29 |
| 27.98 | 59 |
| 29.61 | 32 |
| 33.73 | 29 |
| 35.03 | 29 |
| 35.71 | 29 |
| 38.69 | 28 |

---

(12)
Diffraction record for MgSc4CuRh2. The powder diffraction line list is theoretical, not measured: it uses the GGA-PBE geometry in Alexandria and copper Kα.
Kinematic intensities with the Lorentz-polarization factor, no thermal factor.

Atomic structure:
a b c (Å): 4.6777 4.6777 22.9901
angles (deg): 90.00 90.00 120.00
Space group R-3m (No. 166, hexagonal axes)
Asymmetric unit:
Mg (0.0000, 0.0000, 0.0000) x3
Sc (0.0000, 0.0000, 0.1298) x6
Sc (0.0000, 0.0000, 0.3805) x6
Cu (0.0000, 0.0000, 0.5000) x3
Rh (0.0000, 0.0000, 0.2529) x6

Main lines, in order of rising 2θ (2θ from 5° to 70°):
| two_theta | intensity |
| --- | --- |
| 11.55 | 3 |
| 22.28 | 2 |
| 23.26 | 15 |
| 26.93 | 9 |
| 38.45 | 100 |
| 45.41 | 5 |
| 47.60 | 2 |
| 55.50 | 16 |
| 69.40 | 7 |
| 69.59 | 23 |

---

(13)
Diffraction record for Rb2NdUSe4. The powder diffraction line list is theoretical, not measured: it uses the GGA-PBE geometry in Alexandria and copper Kα.
Kinematic intensities with the Lorentz-polarization factor, no thermal factor.

Atomic structure:
a b c (Å): 7.4862 4.3276 8.4144
angles (deg): 90.00 107.28 90.00
Space group P2/m (No. 10)
Asymmetric unit:
Rb (0.0000, 0.0000, 0.0000) x1
Rb (0.5000, 0.5000, 0.0000) x1
Nd (0.0000, 0.5000, 0.5000) x1
U (0.5000, 0.0000, 0.5000) x1
Se (0.2395, 0.0000, 0.7013) x2
Se (0.2734, 0.5000, 0.3018) x2

Main lines, in order of rising 2θ (2θ from 5° to 70°):
| two_theta | intensity |
| --- | --- |
| 11.01 | 35 |
| 24.89 | 10 |
| 28.05 | 100 |
| 35.41 | 13 |
| 38.34 | 36 |
| 41.77 | 36 |
| 51.07 | 19 |
| 57.99 | 11 |
| 63.18 | 12 |
| 68.03 | 16 |